The following is a computed XRD peak list of Tb6CuRh5. It was derived from a cell relaxed with GGA-PBE, using Cu Kα (weighted mean of Kα1 and Kα2).

The 6 most intense peaks (2θ = 10–90°), sorted by position:
| hkl | 2θ (°) | I/Imax |
| --- | --- | --- |
| 1 3 2 | 36.8 | 100 |
| 2 0 0 | 37.0 | 49 |
| 2 6 0 | 53.3 | 17 |
| 2 0 4 | 66.1 | 18 |
| 3 3 2 | 66.5 | 35 |
| 2 6 4 | 78.2 | 11 |

Crystal structure
```
data_Tb6CuRh5
_symmetry_space_group_name_H-M 'C m m m'
_symmetry_Int_Tables_number 65
_symmetry_space_group_name_Hall '-C 2 2'
_cell_length_a 4.8614
_cell_length_b 14.6056
_cell_length_c 6.9535
_cell_angle_alpha 90.00
_cell_angle_beta 90.00
_cell_angle_gamma 90.00
loop_
_atom_site_label
_atom_site_type_symbol
_atom_site_fract_x
_atom_site_fract_y
_atom_site_fract_z
_atom_site_occupancy
Tb1 Tb 0.0000 0.0000 0.2471 1
Tb2 Tb 0.0000 0.3320 0.2496 1
Cu1 Cu 0.0000 0.5000 0.5000 1
Rh1 Rh 0.0000 0.1651 0.5000 1
Rh2 Rh 0.0000 0.1679 0.0000 1
Rh3 Rh 0.0000 0.5000 0.0000 1
```



The following is a computed XRD peak list of Th4Cu3Rh. It was derived from a cell relaxed with GGA-PBE, using Cu Kα (weighted mean of Kα1 and Kα2).

The 6 most intense peaks (2θ = 10–90°), sorted by position:
| hkl | 2θ (°) | I/Imax |
| --- | --- | --- |
| 0 1 2 | 26.2 | 44 |
| 0 0 4 | 31.7 | 30 |
| 1 1 1 | 32.2 | 100 |
| 1 0 3 | 33.2 | 47 |
| 1 1 3 | 39.5 | 38 |
| 0 2 0 | 42.5 | 24 |

Crystal structure
```
data_Th4Cu3Rh
_symmetry_space_group_name_H-M 'P m m 2'
_symmetry_Int_Tables_number 25
_symmetry_space_group_name_Hall 'P 2 -2'
_cell_length_a 3.8750
_cell_length_b 4.2519
_cell_length_c 11.3019
_cell_angle_alpha 90.00
_cell_angle_beta 90.00
_cell_angle_gamma 90.00
loop_
_atom_site_label
_atom_site_type_symbol
_atom_site_fract_x
_atom_site_fract_y
_atom_site_fract_z
_atom_site_occupancy
Th1 Th 0.0000 0.0000 0.0000 1
Th2 Th 0.0000 0.5000 0.2825 1
Th3 Th 0.5000 0.0000 0.5024 1
Th4 Th 0.5000 0.5000 0.7930 1
Cu1 Cu 0.0000 0.0000 0.7118 1
Cu2 Cu 0.0000 0.5000 0.5765 1
Cu3 Cu 0.5000 0.5000 0.0733 1
Rh1 Rh 0.5000 0.0000 0.2358 1
```



The following is a computed XRD peak list of Th3Cu2Rh5. It was derived from a cell relaxed with GGA-PBE, using Cu Kα (weighted mean of Kα1 and Kα2).

The 6 most intense peaks (2θ = 10–90°), sorted by position:
| hkl | 2θ (°) | I/Imax |
| --- | --- | --- |
| 2 1 1 | 30.8 | 37 |
| 2 2 1 | 34.8 | 21 |
| 3 1 1 | 37.2 | 100 |
| 4 1 0 | 37.8 | 32 |
| 4 2 0 | 41.2 | 22 |
| 0 0 2 | 47.0 | 21 |

Crystal structure
```
data_Th3Cu2Rh5
_symmetry_space_group_name_H-M 'P 4/m b m'
_symmetry_Int_Tables_number 127
_symmetry_space_group_name_Hall '-P 4 2ab'
_cell_length_a 9.8089
_cell_length_b 9.8089
_cell_length_c 3.8641
_cell_angle_alpha 90.00
_cell_angle_beta 90.00
_cell_angle_gamma 90.00
loop_
_atom_site_label
_atom_site_type_symbol
_atom_site_fract_x
_atom_site_fract_y
_atom_site_fract_z
_atom_site_occupancy
Th1 Th 0.0000 0.0000 0.0000 1
Th2 Th 0.1666 0.3334 0.0000 1
Cu1 Cu 0.1252 0.6252 0.0000 1
Rh1 Rh 0.0000 0.5000 0.5000 1
Rh2 Rh 0.0749 0.7907 0.5000 1
```